# CsHoBe2Cl8
Computed powder diffractogram, Cu Kα (weighted mean of Kα1 and Kα2). Input: a structure optimized by DFT (PBE).
Kinematic intensities with the Lorentz-polarization factor, no thermal factor.

Top 10 peaks for 5° ≤ 2θ ≤ 70°, low angle first:
| 2theta | d [Å] | Rel. int. |
| --- | --- | --- |
| 17.35 | 5.112 | 59.2 |
| 20.06 | 4.427 | 84.4 |
| 28.51 | 3.130 | 39.4 |
| 29.86 | 2.993 | 17.5 |
| 33.57 | 2.670 | 100.0 |
| 44.61 | 2.031 | 29.1 |
| 45.83 | 1.980 | 37.6 |
| 50.50 | 1.807 | 34.1 |
| 53.80 | 1.704 | 24.7 |
| 62.01 | 1.497 | 18.9 |

Structural model:
```
CsHoBe2Cl8
1.0
3.1297 1.8069 10.2282
-3.1297 1.8069 10.2282
0.0000 -3.6139 10.2282
Cs Ho Be Cl
1 1 2 8
Cartesian
0.0000 0.0000 0.0000
0.0000 0.0000 15.3424
0.0000 0.0000 7.3985
0.0000 0.0000 23.2862
-2.1320 -0.1381 13.7722
-0.9464 -1.9154 16.9125
0.0000 0.0000 9.3533
1.1856 -1.7773 13.7722
-1.1856 1.7773 16.9125
0.0000 0.0000 21.3315
0.9464 1.9154 13.7722
2.1320 0.1381 16.9126
```

# Cs2TiAlS4
Computed powder diffractogram, Cu Kα (weighted mean of Kα1 and Kα2). Input: a structure optimized by DFT (PBE).
Kinematic intensities with the Lorentz-polarization factor, no thermal factor.

Top 10 peaks for 5° ≤ 2θ ≤ 70°, low angle first:
| 2theta | d [Å] | Rel. int. |
| --- | --- | --- |
| 19.31 | 4.596 | 56.6 |
| 24.23 | 3.674 | 33.5 |
| 24.57 | 3.623 | 92.8 |
| 26.23 | 3.397 | 100.0 |
| 29.87 | 2.991 | 72.7 |
| 32.63 | 2.744 | 36.9 |
| 37.03 | 2.428 | 41.5 |
| 43.74 | 2.070 | 29.9 |
| 45.18 | 2.007 | 33.4 |
| 49.06 | 1.857 | 30.8 |

Structural model:
```
Cs2TiAlS4
1.0
0.0000 7.1321 12.6171
2.9730 0.0000 12.6171
2.9730 7.1321 0.0000
Cs Ti Al S
4 2 2 8
Cartesian
2.2298 5.3491 1.2929
3.7163 8.9151 7.6015
2.2298 5.3491 17.6328
3.7163 8.9151 23.9413
0.7433 1.7830 3.1543
5.2028 12.4811 22.0800
2.2298 5.3491 9.4628
3.7163 8.9151 15.7714
2.2824 3.0605 4.3777
3.6636 6.6266 10.6863
2.1771 7.6376 4.3777
2.1771 3.0605 14.5479
3.7689 11.2036 10.6863
3.7689 6.6266 20.8565
2.2824 7.6376 14.5479
3.6636 11.2036 20.8565
```

# Y2ThNbN4
Computed powder diffractogram, Cu Kα (weighted mean of Kα1 and Kα2). Input: a structure optimized by DFT (PBE).
Kinematic intensities with the Lorentz-polarization factor, no thermal factor.

Top 10 peaks for 5° ≤ 2θ ≤ 70°, low angle first:
| 2theta | d [Å] | Rel. int. |
| --- | --- | --- |
| 15.75 | 5.628 | 41.7 |
| 30.53 | 2.928 | 28.2 |
| 31.81 | 2.813 | 97.1 |
| 31.97 | 2.800 | 95.5 |
| 36.94 | 2.433 | 100.0 |
| 37.08 | 2.425 | 49.5 |
| 53.34 | 1.718 | 67.0 |
| 63.27 | 1.470 | 28.8 |
| 63.54 | 1.464 | 35.3 |
| 63.63 | 1.462 | 21.2 |

Structural model:
```
Y2ThNbN4
1.0
5.9483 0.0000 0.0000
0.0000 3.4285 0.0000
-1.9481 0.0000 5.6321
Y Th Nb N
2 1 1 4
Cartesian
0.0000 0.0000 0.0000
2.9741 1.7142 0.0000
-0.9741 1.7142 2.8161
2.0001 0.0000 2.8161
0.1167 0.0000 4.2067
1.0852 1.7142 1.4922
2.9149 1.7142 4.1400
3.8835 0.0000 1.4254
```